# 1
# Li2MnCoO4
Calculated XRD peak list, λ = 1.5418 Å (Cu Kα). Input: a crystal structure in the Materials Project, relaxed with PBE+U.

Main lines, by angle (2θ from 10° to 80°):
hkl 1 1 0, 2θ = 18.2°, 4.880 Å, I = 100; hkl 1 1 -1, 2θ = 18.3°, 4.845 Å, I = 76; hkl 1 1 1, 2θ = 33.9°, 2.645 Å, I = 19; hkl 1 3 0, 2θ = 36.4°, 2.471 Å, I = 22; hkl 2 2 0, 2θ = 36.8°, 2.440 Å, I = 17; hkl 0 0 2, 2θ = 40.7°, 2.219 Å, I = 56; hkl 4 0 -2, 2θ = 43.5°, 2.083 Å, I = 45; hkl 0 4 0, 2θ = 44.7°, 2.028 Å, I = 41; hkl 0 4 2, 2θ = 62.0°, 1.497 Å, I = 26; hkl 4 4 -2, 2θ = 64.1°, 1.453 Å, I = 23

Crystal structure
Lattice parameters (Å, degrees): 8.3313 8.1138 6.0520 90.00 132.84 90.00
Space group C2/c (No. 15)
Symmetry-distinct sites (fractional):
Li: 0.0000 0.0000 0.0000 [4 per cell]
Li: 0.2500 0.2500 0.0000 [4 per cell]
Mn: 0.2500 0.2500 0.5000 [4 per cell]
Co: 0.0000 0.5000 0.0000 [4 per cell]
O: 0.0200 0.2598 0.5135 [8 per cell]
O: 0.2339 0.4895 0.4767 [8 per cell]

# 2
# Li7Mn2Co3O12
Calculated XRD peak list, λ = 1.5418 Å (Cu Kα). Input: a crystal structure in the Materials Project, relaxed with PBE+U.

Main lines, by angle (2θ from 10° to 80°):
hkl 0 0 3, 2θ = 18.4°, 4.813 Å, I = 100; hkl 1 1 0, 2θ = 34.8°, 2.580 Å, I = 17; hkl 1 -1 1, 2θ = 36.0°, 2.492 Å, I = 13; hkl 0 2 2, 2θ = 36.3°, 2.472 Å, I = 12; hkl 1 1 -3, 2θ = 41.9°, 2.155 Å, I = 34; hkl 1 -1 4, 2θ = 43.8°, 2.065 Å, I = 29; hkl 0 2 5, 2θ = 44.5°, 2.038 Å, I = 27; hkl 2 0 1, 2θ = 62.3°, 1.491 Å, I = 17; hkl 1 3 2, 2θ = 62.6°, 1.484 Å, I = 8; hkl -1 1 8, 2θ = 62.9°, 1.477 Å, I = 8

Crystal structure
Lattice parameters (Å, degrees): 2.9854 5.0512 14.6299 81.75 85.61 88.22
Space group P-1 (No. 2)
Symmetry-distinct sites (fractional):
Li: 0.0000 0.0000 0.0000 [1 per cell]
Li: 0.0691 0.4127 0.8422 [2 per cell]
Li: 0.2515 0.2498 0.4990 [2 per cell]
Li: 0.4186 0.0798 0.1589 [2 per cell]
Mn: 0.3356 0.6669 0.3316 [2 per cell]
Co: 0.1663 0.8333 0.6685 [2 per cell]
Co: 0.5000 0.5000 0.0000 [1 per cell]
O: 0.0232 0.6853 0.9279 [2 per cell]
O: 0.0865 0.1209 0.7477 [2 per cell]
O: 0.2425 0.5441 0.5896 [2 per cell]
O: 0.2956 0.9569 0.4082 [2 per cell]
O: 0.3692 0.3725 0.2574 [2 per cell]
O: 0.4611 0.7544 0.0738 [2 per cell]

# 3
# Li4MnCo2O7
Calculated XRD peak list, λ = 1.5418 Å (Cu Kα). Input: a crystal structure in the Materials Project, relaxed with PBE+U.

Main lines, by angle (2θ from 10° to 80°):
hkl 0 1 2, 2θ = 18.4°, 4.832 Å, I = 100; hkl 1 1 -1, 2θ = 35.3°, 2.544 Å, I = 16; hkl 1 -1 2, 2θ = 36.4°, 2.471 Å, I = 13; hkl 0 1 -5, 2θ = 36.8°, 2.445 Å, I = 12; hkl 1 2 1, 2θ = 42.4°, 2.131 Å, I = 31; hkl 1 -2 0, 2θ = 44.0°, 2.060 Å, I = 27; hkl 0 0 7, 2θ = 44.8°, 2.025 Å, I = 26; hkl 0 4 1, 2θ = 62.4°, 1.489 Å, I = 8; hkl 2 0 1, 2θ = 63.1°, 1.474 Å, I = 8; hkl 1 2 -6, 2θ = 63.5°, 1.465 Å, I = 8

Crystal structure
Lattice parameters (Å, degrees): 2.9498 5.9585 14.3444 82.99 84.36 88.06
Space group P-1 (No. 2)
Symmetry-distinct sites (fractional):
Li: 0.0000 0.0000 0.0000 [1 per cell]
Li: 0.0000 0.5000 0.0000 [1 per cell]
Li: 0.1447 0.0734 0.7130 [2 per cell]
Li: 0.2878 0.6423 0.4277 [2 per cell]
Li: 0.4340 0.2108 0.1354 [2 per cell]
Mn: 0.4344 0.7209 0.1379 [2 per cell]
Co: 0.1435 0.5685 0.7133 [2 per cell]
Co: 0.2807 0.1454 0.4284 [2 per cell]
O: 0.0599 0.5119 0.8504 [2 per cell]
O: 0.0805 0.0665 0.8562 [2 per cell]
O: 0.2134 0.1010 0.5658 [2 per cell]
O: 0.2238 0.6147 0.5778 [2 per cell]
O: 0.3154 0.1895 0.2897 [2 per cell]
O: 0.3937 0.6644 0.2803 [2 per cell]
O: 0.4919 0.7434 0.0098 [2 per cell]

# 4
# Li4MnCo2O7
Calculated XRD peak list, λ = 1.5418 Å (Cu Kα). Input: a crystal structure in the Materials Project, relaxed with PBE+U.

Main lines, by angle (2θ from 10° to 80°):
hkl 1 -1 0, 2θ = 18.4°, 4.830 Å, I = 100; hkl 1 1 1, 2θ = 35.3°, 2.540 Å, I = 15; hkl 1 0 -3, 2θ = 36.2°, 2.480 Å, I = 13; hkl 1 2 -2, 2θ = 36.4°, 2.466 Å, I = 12; hkl 2 0 1, 2θ = 42.6°, 2.122 Å, I = 30; hkl -2 1 3, 2θ = 43.9°, 2.061 Å, I = 27; hkl 0 3 -2, 2θ = 44.3°, 2.045 Å, I = 26; hkl -4 1 2, 2θ = 62.7°, 1.482 Å, I = 8; hkl 0 1 4, 2θ = 63.0°, 1.475 Å, I = 8; hkl 2 3 -1, 2θ = 63.3°, 1.469 Å, I = 8

Crystal structure
Lattice parameters (Å, degrees): 5.9328 6.4967 7.6696 104.03 110.96 103.50
Space group P1 (No. 1)
Symmetry-distinct sites (fractional):
Li: 0.0000 0.0000 0.0000 [1 per cell]
Li: 0.0732 0.5771 0.8583 [1 per cell]
Li: 0.2178 0.7170 0.5735 [1 per cell]
Li: 0.3485 0.8561 0.2779 [1 per cell]
Li: 0.5140 0.0102 0.0050 [1 per cell]
Li: 0.6629 0.1481 0.7271 [1 per cell]
Li: 0.7865 0.2852 0.4295 [1 per cell]
Li: 0.9267 0.4199 0.1367 [1 per cell]
Mn: 0.7139 0.7181 0.5722 [1 per cell]
Mn: 0.8564 0.8609 0.2836 [1 per cell]
Co: 0.1416 0.1419 0.7162 [1 per cell]
Co: 0.2827 0.2830 0.4224 [1 per cell]
Co: 0.4209 0.4188 0.1366 [1 per cell]
Co: 0.5861 0.5730 0.8628 [1 per cell]
O: 0.0657 0.2878 0.9226 [1 per cell]
O: 0.0756 0.8625 0.7622 [1 per cell]
O: 0.1995 0.4088 0.6459 [1 per cell]
O: 0.2109 0.9991 0.4928 [1 per cell]
O: 0.3486 0.5748 0.3699 [1 per cell]
O: 0.3914 0.1638 0.2228 [1 per cell]
O: 0.4950 0.7172 0.0844 [1 per cell]
O: 0.5483 0.3008 0.9314 [1 per cell]
O: 0.6076 0.8335 0.7738 [1 per cell]
O: 0.6819 0.4467 0.6397 [1 per cell]
O: 0.7377 0.9760 0.4881 [1 per cell]
O: 0.8090 0.5918 0.3611 [1 per cell]
O: 0.9006 0.1335 0.2269 [1 per cell]
O: 0.9544 0.7219 0.0870 [1 per cell]